1.
Structure and theoretical powder diffractogram of Na2NpOsO8 (a GGA-PBE-relaxed structure; CuKα).
No peak broadening, texture or thermal motion is included.

Most intense lines, 10° ≤ 2θ ≤ 90°, by intensity:
2θ = 17.2°, intensity 100
2θ = 32.9°, intensity 49
2θ = 23.9°, intensity 36
2θ = 24.9°, intensity 29
2θ = 48.1°, intensity 25
2θ = 37.0°, intensity 21
2θ = 49.2°, intensity 17
2θ = 34.8°, intensity 15
2θ = 27.9°, intensity 14
2θ = 45.1°, intensity 13

Structural model:
```
Na2NpOsO8
1.0
5.1615 0.0000 0.0000
0.0000 6.3983 0.0000
-0.2062 0.0000 5.1670
Na Np Os O
2 1 1 8
direct
0.0000 0.2398 0.0000 Na
0.0000 0.7602 0.0000 Na
0.5000 0.5000 0.5000 Np
0.5000 0.0000 0.5000 Os
0.2428 0.5000 0.2403 O
0.2511 0.0000 0.2485 O
0.3246 0.2325 0.6726 O
0.3246 0.7675 0.6726 O
0.6754 0.2325 0.3274 O
0.6754 0.7675 0.3274 O
0.7489 0.0000 0.7515 O
0.7572 0.5000 0.7597 O
```

2.
Structure and theoretical powder diffractogram of Tm2HfZn3 (a GGA-PBE-relaxed structure; CuKα).
No peak broadening, texture or thermal motion is included.

Most intense lines, 10° ≤ 2θ ≤ 90°, by intensity:
2θ = 36.9°, intensity 100
2θ = 66.5°, intensity 34
2θ = 25.9°, intensity 21
2θ = 53.2°, intensity 17
2θ = 78.6°, intensity 10
2θ = 60.1°, intensity 9
2θ = 45.6°, intensity 7
2θ = 84.4°, intensity 4
2θ = 43.8°, intensity 1
2θ = 71.3°, intensity 1

Structural model:
```
Tm2HfZn3
1.0
3.4424 0.0000 0.0000
0.0000 3.4424 0.0000
0.0000 0.0000 10.3383
Tm Hf Zn
2 1 3
direct
0.0000 0.0000 0.1733 Tm
0.0000 0.0000 0.8267 Tm
0.0000 0.0000 0.5000 Hf
0.5000 0.5000 0.0000 Zn
0.5000 0.5000 0.3510 Zn
0.5000 0.5000 0.6490 Zn
```

3.
Structure and theoretical powder diffractogram of RbCd2B2O6 (a GGA-PBE-relaxed structure; CuKα).
No peak broadening, texture or thermal motion is included.

Most intense lines, 10° ≤ 2θ ≤ 90°, by intensity:
2θ = 26.9°, intensity 100
2θ = 15.6°, intensity 87
2θ = 17.9°, intensity 66
2θ = 29.0°, intensity 52
2θ = 31.0°, intensity 46
2θ = 35.3°, intensity 35
2θ = 26.5°, intensity 34
2θ = 26.0°, intensity 31
2θ = 31.5°, intensity 27
2θ = 31.8°, intensity 24

Structural model:
```
RbCd2B2O6
1.0
5.6521 0.0000 0.0000
-0.3968 5.7963 0.0000
-2.4111 -2.3692 5.6822
Rb Cd B O
1 2 2 6
direct
0.0000 0.0000 0.0000 Rb
0.3113 0.7193 0.4603 Cd
0.6887 0.2807 0.5397 Cd
0.2693 0.2575 0.6677 B
0.7307 0.7425 0.3323 B
0.0813 0.2832 0.7505 O
0.2924 0.3584 0.5090 O
0.4560 0.1203 0.7320 O
0.5440 0.8797 0.2680 O
0.7076 0.6416 0.4910 O
0.9187 0.7168 0.2495 O
```

4.
Structure and theoretical powder diffractogram of BeB6 (a GGA-PBE-relaxed structure; CuKα).
No peak broadening, texture or thermal motion is included.

Most intense lines, 10° ≤ 2θ ≤ 90°, by intensity:
2θ = 22.8°, intensity 100
2θ = 32.2°, intensity 38
2θ = 22.4°, intensity 32
2θ = 64.9°, intensity 26
2θ = 51.7°, intensity 25
2θ = 60.2°, intensity 19
2θ = 45.3°, intensity 11
2θ = 67.4°, intensity 9
2θ = 74.8°, intensity 8
2θ = 30.7°, intensity 8

Structural model:
```
BeB6
1.0
3.8919 -1.7119 0.0000
3.8919 1.7119 0.0000
0.0000 0.0000 7.9300
Be B
2 12
direct
0.1097 0.8903 0.7500 Be
0.8903 0.1097 0.2500 Be
0.1146 0.3603 0.6014 B
0.1146 0.3603 0.8986 B
0.2703 0.5056 0.2500 B
0.3603 0.1146 0.1014 B
0.3603 0.1146 0.3986 B
0.4944 0.7297 0.2500 B
0.5056 0.2703 0.7500 B
0.6397 0.8854 0.6014 B
0.6397 0.8854 0.8986 B
0.7297 0.4944 0.7500 B
0.8854 0.6397 0.1014 B
0.8854 0.6397 0.3986 B
```

5.
Structure and theoretical powder diffractogram of Dy2Ge2Rh5 (a GGA-PBE-relaxed structure; CuKα).
No peak broadening, texture or thermal motion is included.

Most intense lines, 10° ≤ 2θ ≤ 90°, by intensity:
2θ = 36.5°, intensity 100
2θ = 43.3°, intensity 48
2θ = 75.0°, intensity 24
2θ = 43.1°, intensity 17
2θ = 29.3°, intensity 16
2θ = 62.9°, intensity 15
2θ = 70.9°, intensity 15
2θ = 60.7°, intensity 14
2θ = 40.4°, intensity 12
2θ = 46.1°, intensity 10

Structural model:
```
Dy2Ge2Rh5
1.0
4.1765 0.0000 0.0000
0.0000 4.1765 0.0000
0.0000 0.0000 8.9335
Dy Ge Rh
2 2 5
direct
0.0000 0.0000 0.0000 Dy
0.0000 0.0000 0.5000 Dy
0.5000 0.5000 0.1401 Ge
0.5000 0.5000 0.8599 Ge
0.0000 0.5000 0.2732 Rh
0.0000 0.5000 0.7268 Rh
0.5000 0.0000 0.2732 Rh
0.5000 0.0000 0.7268 Rh
0.5000 0.5000 0.5000 Rh
```

6.
Structure and theoretical powder diffractogram of OsRu2W2 (a GGA-PBE-relaxed structure; CuKα).
No peak broadening, texture or thermal motion is included.

Most intense lines, 10° ≤ 2θ ≤ 90°, by intensity:
2θ = 41.7°, intensity 100
2θ = 38.9°, intensity 76
2θ = 39.8°, intensity 43
2θ = 34.7°, intensity 20
2θ = 61.3°, intensity 17
2θ = 78.0°, intensity 17
2θ = 62.7°, intensity 15
2θ = 73.7°, intensity 15
2θ = 77.6°, intensity 14
2θ = 27.2°, intensity 12

Structural model:
```
OsRu2W2
1.0
7.3200 0.0000 0.0000
0.0000 7.3200 0.0000
0.0000 0.0000 5.7731
Os Ru W
4 8 8
direct
0.0000 0.0000 0.2224 Os
0.0000 0.0000 0.7776 Os
0.5000 0.5000 0.2776 Os
0.5000 0.5000 0.7224 Os
0.1294 0.3706 0.2500 Ru
0.1294 0.3706 0.7500 Ru
0.3706 0.8706 0.2500 Ru
0.3706 0.8706 0.7500 Ru
0.6294 0.1294 0.2500 Ru
0.6294 0.1294 0.7500 Ru
0.8706 0.6294 0.2500 Ru
0.8706 0.6294 0.7500 Ru
0.1600 0.6813 0.5000 W
0.1813 0.6600 0.0000 W
0.3187 0.1600 0.5000 W
0.3400 0.1813 0.0000 W
0.6600 0.8187 0.0000 W
0.6813 0.8400 0.5000 W
0.8187 0.3400 0.0000 W
0.8400 0.3187 0.5000 W
```

7.
Structure and theoretical powder diffractogram of Tl8Se4Br (a GGA-PBE-relaxed structure; CuKα).
No peak broadening, texture or thermal motion is included.

Most intense lines, 10° ≤ 2θ ≤ 90°, by intensity:
2θ = 27.9°, intensity 100
2θ = 24.3°, intensity 50
2θ = 40.5°, intensity 39
2θ = 39.1°, intensity 36
2θ = 49.9°, intensity 20
2θ = 11.5°, intensity 18
2θ = 66.1°, intensity 18
2θ = 23.2°, intensity 16
2θ = 47.2°, intensity 16
2θ = 64.1°, intensity 13

Structural model:
```
Tl8Se4Br
1.0
4.4535 2.5713 7.6621
-4.4535 2.5713 7.6621
0.0000 -5.1425 7.6621
Tl Se Br
8 4 1
direct
0.2388 0.7413 0.7413 Tl
0.2409 0.2409 0.2409 Tl
0.2587 0.2587 0.7612 Tl
0.2587 0.7612 0.2587 Tl
0.7413 0.2388 0.7413 Tl
0.7413 0.7413 0.2388 Tl
0.7591 0.7591 0.7591 Tl
0.7612 0.2587 0.2587 Tl
0.0000 0.0000 0.5000 Se
0.0000 0.5000 0.0000 Se
0.5000 0.0000 0.0000 Se
0.5000 0.5000 0.5000 Se
0.0000 0.0000 0.0000 Br
```

8.
Structure and theoretical powder diffractogram of V7S8 (a GGA-PBE-relaxed structure; CuKα).
No peak broadening, texture or thermal motion is included.

Most intense lines, 10° ≤ 2θ ≤ 90°, by intensity:
2θ = 44.4°, intensity 100
2θ = 35.0°, intensity 43
2θ = 44.1°, intensity 38
2θ = 44.5°, intensity 37
2θ = 31.6°, intensity 36
2θ = 35.1°, intensity 34
2θ = 56.4°, intensity 30
2θ = 43.8°, intensity 30
2θ = 17.3°, intensity 24
2θ = 55.7°, intensity 22

Structural model:
```
V7S8
1.0
6.5232 0.0000 0.0000
3.2481 5.7309 0.0000
1.6491 2.7962 5.8969
V S
7 8
direct
0.0000 0.0000 0.0000 V
0.0000 0.5000 0.0000 V
0.0119 0.1931 0.5046 V
0.4693 0.7965 0.4913 V
0.5000 0.5000 0.0000 V
0.5307 0.2035 0.5087 V
0.9881 0.8069 0.4954 V
0.1683 0.5305 0.2691 S
0.1814 0.0481 0.2261 S
0.3319 0.4694 0.7336 S
0.3336 0.9593 0.7589 S
0.6664 0.0407 0.2411 S
0.6681 0.5306 0.2664 S
0.8186 0.9519 0.7739 S
0.8317 0.4695 0.7309 S
```